For SrAlSi2Rh, a crystal structure in Alexandria, relaxed with GGA-PBE gives the simulated powder XRD pattern in this record (Cu Kα X-rays).
Peak positions follow from Bragg's law for the DFT cell and can differ from measured ones.

Top 6 peaks for 15° ≤ 2θ ≤ 90°, in order of rising 2θ:
23.09 deg, rel. 46, hkl 1 0 1
33.08 deg, rel. 48, hkl 1 0 3
34.98 deg, rel. 100, hkl 1 1 2
43.89 deg, rel. 39, hkl 2 0 0
56.04 deg, rel. 21, hkl 2 1 3
74.89 deg, rel. 21, hkl 3 1 2

Structural model:
a b c (Å): 4.126 4.126 10.768
angles (deg): 90.00 90.00 90.00
Space group I-4m2 (No. 119)
One atom of each set of equivalent atoms:
Sr: 0.000 0.000 0.000 (multiplicity 2)
Al: 0.000 0.500 0.250 (multiplicity 2)
Si: 0.000 0.000 0.383 (multiplicity 4)
Rh: 0.000 0.500 0.750 (multiplicity 2)

For Na5SnHg, a crystal structure in Alexandria, relaxed with GGA-PBE gives the simulated powder XRD pattern in this record (Cu Kα X-rays).
Peak positions follow from Bragg's law for the DFT cell and can differ from measured ones.

Top 6 peaks for 15° ≤ 2θ ≤ 90°, in order of rising 2θ:
20.14 deg, rel. 28, hkl 2 0 0
20.70 deg, rel. 100, hkl 1 1 2
31.73 deg, rel. 37, hkl 0 2 3
32.46 deg, rel. 30, hkl 2 2 1
33.89 deg, rel. 41, hkl 2 0 4
35.60 deg, rel. 28, hkl 3 1 2

Structural model:
a b c (Å): 8.817 7.338 13.228
angles (deg): 90.00 90.00 90.00
Space group Cmcm (No. 63)
One atom of each set of equivalent atoms:
Na: 0.000 0.023 0.250 (multiplicity 4)
Na: 0.206 0.330 0.108 (multiplicity 16)
Sn: 0.000 0.000 0.000 (multiplicity 4)
Hg: 0.000 0.400 0.750 (multiplicity 4)

For MnInAsN, a crystal structure in Alexandria, relaxed with GGA-PBE gives the simulated powder XRD pattern in this record (Cu Kα X-rays).
Peak positions follow from Bragg's law for the DFT cell and can differ from measured ones.

Top 6 peaks for 15° ≤ 2θ ≤ 90°, in order of rising 2θ:
26.97 deg, rel. 39, hkl 0 0 2
28.24 deg, rel. 100, hkl 1 0 0
31.37 deg, rel. 56, hkl 1 0 1
39.45 deg, rel. 82, hkl 0 1 2
49.99 deg, rel. 47, hkl 1 1 0
50.49 deg, rel. 39, hkl 1 0 3

Structural model:
a b c (Å): 3.6493 3.6493 6.6113
angles (deg): 90.00 90.00 120.00
Space group P3m1 (No. 156)
One atom of each set of equivalent atoms:
Mn: 0.0000 0.0000 0.0000 (multiplicity 1)
In: 0.6667 0.3333 0.3999 (multiplicity 1)
As: 0.6667 0.3333 0.8107 (multiplicity 1)
N: 0.0000 0.0000 0.2949 (multiplicity 1)

For Nd5SnPt2, a crystal structure in Alexandria, relaxed with GGA-PBE gives the simulated powder XRD pattern in this record (Cu Kα X-rays).
Peak positions follow from Bragg's law for the DFT cell and can differ from measured ones.

Top 6 peaks for 15° ≤ 2θ ≤ 90°, in order of rising 2θ:
31.40 deg, rel. 100, hkl 2 1 3
34.08 deg, rel. 18, hkl 2 0 4
35.04 deg, rel. 52, hkl 3 1 0
41.03 deg, rel. 21, hkl 2 1 5
65.05 deg, rel. 14, hkl 3 1 8
65.23 deg, rel. 22, hkl 4 4 0

Structural model:
a b c (Å): 8.098 8.098 13.843
angles (deg): 90.00 90.00 90.00
Space group I4/mcm (No. 140)
One atom of each set of equivalent atoms:
Nd: 0.000 0.000 0.000 (multiplicity 4)
Nd: 0.160 0.340 0.139 (multiplicity 16)
Sn: 0.000 0.000 0.250 (multiplicity 4)
Pt: 0.135 0.365 0.500 (multiplicity 8)

For HfZrGe2, a crystal structure in Alexandria, relaxed with GGA-PBE gives the simulated powder XRD pattern in this record (Cu Kα X-rays).
Peak positions follow from Bragg's law for the DFT cell and can differ from measured ones.

Top 6 peaks for 15° ≤ 2θ ≤ 90°, in order of rising 2θ:
29.89 deg, rel. 100, hkl 2 1 1
40.82 deg, rel. 64, hkl 0 2 2
44.66 deg, rel. 54, hkl 4 0 0
54.67 deg, rel. 18, hkl 0 4 1
55.04 deg, rel. 18, hkl 2 1 3
62.09 deg, rel. 18, hkl 4 2 2

Structural model:
a b c (Å): 8.112 7.032 5.687
angles (deg): 90.00 90.00 90.00
Space group Pbcm (No. 57)
One atom of each set of equivalent atoms:
Hf: 0.125 0.082 0.250 (multiplicity 4)
Zr: 0.375 0.585 0.250 (multiplicity 4)
Ge: 0.123 0.750 0.000 (multiplicity 4)
Ge: 0.372 0.250 0.000 (multiplicity 4)

For LiNp2Ga9, a crystal structure in Alexandria, relaxed with GGA-PBE gives the simulated powder XRD pattern in this record (Cu Kα X-rays).
Peak positions follow from Bragg's law for the DFT cell and can differ from measured ones.

Top 6 peaks for 15° ≤ 2θ ≤ 90°, in order of rising 2θ:
21.15 deg, rel. 15, hkl 0 0 3
25.48 deg, rel. 16, hkl 1 0 2
37.07 deg, rel. 100, hkl 1 1 3
43.03 deg, rel. 34, hkl 2 0 0
62.54 deg, rel. 31, hkl 2 2 0
74.94 deg, rel. 25, hkl 3 1 3

Structural model:
a b c (Å): 4.204 4.204 12.578
angles (deg): 90.00 90.00 90.00
Space group P4/mmm (No. 123)
One atom of each set of equivalent atoms:
Li: 0.000 0.000 0.000 (multiplicity 1)
Np: 0.000 0.000 0.325 (multiplicity 2)
Ga: 0.000 0.500 0.151 (multiplicity 4)
Ga: 0.000 0.500 0.500 (multiplicity 2)
Ga: 0.500 0.500 0.000 (multiplicity 1)
Ga: 0.500 0.500 0.337 (multiplicity 2)

For LiBe3Au3, a crystal structure in Alexandria, relaxed with GGA-PBE gives the simulated powder XRD pattern in this record (Cu Kα X-rays).
Peak positions follow from Bragg's law for the DFT cell and can differ from measured ones.

Top 6 peaks for 15° ≤ 2θ ≤ 90°, in order of rising 2θ:
19.70 deg, rel. 42, hkl 1 1 0
31.38 deg, rel. 100, hkl 2 1 0
34.47 deg, rel. 23, hkl 2 1 1
49.54 deg, rel. 24, hkl 2 2 2
51.71 deg, rel. 25, hkl 3 2 0
67.32 deg, rel. 23, hkl 4 2 1

Structural model:
a b c (Å): 6.374 6.374 6.374
angles (deg): 90.00 90.00 90.00
Space group Pm-3n (No. 223)
One atom of each set of equivalent atoms:
Li: 0.000 0.000 0.000 (multiplicity 2)
Be: 0.000 0.250 0.500 (multiplicity 6)
Au: 0.000 0.500 0.250 (multiplicity 6)

For CsHgGe, a crystal structure in Alexandria, relaxed with GGA-PBE gives the simulated powder XRD pattern in this record (Cu Kα X-rays).
Peak positions follow from Bragg's law for the DFT cell and can differ from measured ones.

Top 6 peaks for 15° ≤ 2θ ≤ 90°, in order of rising 2θ:
26.50 deg, rel. 100, hkl 1 0 1
29.47 deg, rel. 25, hkl 0 0 2
38.56 deg, rel. 37, hkl 1 1 0
47.40 deg, rel. 21, hkl 2 0 1
49.27 deg, rel. 36, hkl 1 1 2
62.69 deg, rel. 18, hkl 2 1 1

Structural model:
a b c (Å): 4.6690 4.6690 6.0618
angles (deg): 90.00 90.00 120.00
Space group P-6m2 (No. 187)
One atom of each set of equivalent atoms:
Cs: 0.0000 0.0000 0.0000 (multiplicity 1)
Hg: 0.6667 0.3333 0.5000 (multiplicity 1)
Ge: 0.3333 0.6667 0.5000 (multiplicity 1)